The following is a computed powder XRD pattern of RbTe2Cl. It was derived from a structure optimized by DFT (PBE), using CuKα.

Structure:
a b c (Å): 4.357 4.357 35.478
angles (deg): 90.00 90.00 90.00
Space group I-42d (No. 122)
Unique sites:
Rb: 0.000 0.000 0.000
Te: 0.250 0.250 0.125
Cl: 0.000 0.000 0.500

Largest 12 diffraction maxima, low angle first, 5 to 70 degrees two-theta:
| 2θ/deg | I (rel.) |
| --- | --- |
| 9.97 | 491 |
| 20.02 | 1000 |
| 29.42 | 844 |
| 32.78 | 632 |
| 38.71 | 398 |
| 40.69 | 154 |
| 42.74 | 535 |
| 46.40 | 287 |
| 52.15 | 295 |
| 55.33 | 138 |
| 63.98 | 159 |
| 68.28 | 146 |